No. 1
Structure and calculated PXRD pattern of DyTa4Hg3 (a PBE-relaxed structure; a wavelength of 1.5418 Å).

The 10 most intense peaks (2θ from 10° to 90°), low angle first:
32.4°, intensity 100; 33.7°, intensity 45; 40.5°, intensity 55; 48.1°, intensity 67; 53.7°, intensity 24; 65.2°, intensity 14; 70.7°, intensity 21; 74.7°, intensity 19; 75.4°, intensity 18; 79.6°, intensity 16

Atomic structure:
Cell lengths 4.0496, 4.0496, 21.2469 Å; angles 90.00, 90.00, 90.00 degrees
Positions (direct):
Dy1 0.0000 0.0000 0.0000
Dy2 0.5000 0.5000 0.5000
Ta1 0.2488 0.2488 0.3730
Ta2 0.2488 0.7512 0.6270
Ta3 0.2512 0.2512 0.8730
Ta4 0.2512 0.7488 0.1270
Ta5 0.7488 0.2512 0.1270
Ta6 0.7488 0.7488 0.8730
Ta7 0.7512 0.2488 0.6270
Ta8 0.7512 0.7512 0.3730
Hg1 0.0000 0.0000 0.5000
Hg2 0.0000 0.5000 0.2500
Hg3 0.0000 0.5000 0.7500
Hg4 0.5000 0.0000 0.2500
Hg5 0.5000 0.0000 0.7500
Hg6 0.5000 0.5000 0.0000

---

No. 2
Structure and calculated PXRD pattern of ZnSi17Ge13P (a PBE-relaxed structure; a wavelength of 1.5418 Å).

The 10 most intense peaks (2θ from 10° to 90°), low angle first:
11.3°, intensity 9; 27.7°, intensity 100; 46.1°, intensity 59; 46.2°, intensity 12; 54.6°, intensity 28; 54.8°, intensity 14; 67.3°, intensity 8; 74.1°, intensity 11; 85.3°, intensity 10; 85.5°, intensity 6

Atomic structure:
Cell lengths 5.5800, 3.9432, 31.4178 Å; angles 90.00, 90.09, 90.00 degrees
Positions (direct):
Zn1 0.0000 0.0000 0.0000
Si1 0.2246 0.5000 0.6274
Si2 0.2255 0.5000 0.1250
Si3 0.2339 0.5000 0.3773
Si4 0.4792 0.5000 0.1858
Si5 0.4831 0.5000 0.6871
Si6 0.4827 0.5000 0.9420
Si7 0.4841 0.5000 0.4377
Si8 0.7191 0.0000 0.1879
Si9 0.7200 0.0000 0.9406
Si10 0.7228 0.0000 0.4390
Si11 0.7244 0.0000 0.6875
Si12 0.7331 0.0000 0.8113
Si13 0.7339 0.0000 0.0605
Si14 0.9706 0.0000 0.2484
Si15 0.9711 0.0000 0.7490
Si16 0.9723 0.0000 0.4997
Si17 0.9836 0.0000 0.6276
Ge1 0.2210 0.5000 0.2480
Ge2 0.2228 0.5000 0.4991
Ge3 0.2233 0.5000 0.7489
Ge4 0.2286 0.5000 0.8786
Ge5 0.4716 0.5000 0.3133
Ge6 0.4722 0.5000 0.5644
Ge7 0.4822 0.5000 0.0621
Ge8 0.4815 0.5000 0.8135
Ge9 0.7339 0.0000 0.3126
Ge10 0.7363 0.0000 0.5641
Ge11 0.9619 0.0000 0.8769
Ge12 0.9725 0.0000 0.1251
Ge13 0.9843 0.0000 0.3776
P1 0.2363 0.5000 0.9998

---

No. 3
Structure and calculated PXRD pattern of Cu7Ag3 (a PBE-relaxed structure; a wavelength of 1.5418 Å).

The 10 most intense peaks (2θ from 10° to 90°), low angle first:
41.0°, intensity 48; 41.2°, intensity 100; 41.3°, intensity 46; 46.7°, intensity 66; 50.4°, intensity 25; 68.2°, intensity 10; 70.9°, intensity 17; 71.3°, intensity 15; 82.8°, intensity 11; 82.9°, intensity 20

Atomic structure:
Cell lengths 4.5685, 2.7495, 10.9622 Å; angles 90.00, 93.89, 90.00 degrees
Positions (direct):
Cu1 0.0000 0.0000 0.0000
Cu2 0.0999 0.5000 0.8065
Cu3 0.2269 0.0000 0.6217
Cu4 0.3883 0.0000 0.2005
Cu5 0.6117 0.0000 0.7995
Cu6 0.7731 0.0000 0.3783
Cu7 0.9001 0.5000 0.1935
Ag1 0.2707 0.5000 0.4058
Ag2 0.5000 0.5000 0.0000
Ag3 0.7293 0.5000 0.5942

---

No. 4
Structure and calculated PXRD pattern of TlCuPdSe3 (a PBE-relaxed structure; a wavelength of 1.5418 Å).

The 10 most intense peaks (2θ from 10° to 90°), low angle first:
24.3°, intensity 24; 24.9°, intensity 24; 29.9°, intensity 32; 32.7°, intensity 100; 33.7°, intensity 31; 35.9°, intensity 29; 36.4°, intensity 33; 37.4°, intensity 30; 47.0°, intensity 35; 56.4°, intensity 32

Atomic structure:
Cell lengths 7.7739, 3.8656, 9.8711 Å; angles 90.00, 109.78, 90.00 degrees
Positions (direct):
Tl1 0.2452 0.2500 0.2019
Tl2 0.7548 0.7500 0.7981
Cu1 0.4317 0.2500 0.9123
Cu2 0.5683 0.7500 0.0877
Pd1 0.1772 0.7500 0.6510
Pd2 0.8228 0.2500 0.3490
Se1 0.0471 0.7500 0.3776
Se2 0.2415 0.7500 0.9289
Se3 0.3978 0.2500 0.6565
Se4 0.6022 0.7500 0.3435
Se5 0.7585 0.2500 0.0711
Se6 0.9529 0.2500 0.6224

---

Q: What is the formula in the fourth record?
A: TlCuPdSe3